Record 1
Structure and theoretical powder diffraction line list of Sm3S3N (DFT lattice parameters and positions (PBE); Cu Kα X-rays).

Structure:
```
Sm3S3N
1.0
12.1334 0.0000 0.0000
0.0000 3.9544 0.0000
0.0000 0.0000 13.0035
Sm S N
12 12 4
direct
0.0427 0.2500 0.1469 Sm
0.0776 0.2500 0.6296 Sm
0.2189 0.2500 0.8644 Sm
0.2811 0.7500 0.3644 Sm
0.4224 0.7500 0.1296 Sm
0.4573 0.7500 0.6469 Sm
0.5427 0.2500 0.3531 Sm
0.5776 0.2500 0.8704 Sm
0.7189 0.2500 0.6356 Sm
0.7811 0.7500 0.1356 Sm
0.9224 0.7500 0.3704 Sm
0.9573 0.7500 0.8531 Sm
0.0851 0.2500 0.3948 S
0.1371 0.7500 0.9945 S
0.2294 0.7500 0.6958 S
0.2706 0.2500 0.1958 S
0.3629 0.2500 0.4945 S
0.4149 0.7500 0.8948 S
0.5851 0.2500 0.1052 S
0.6371 0.7500 0.5055 S
0.7294 0.7500 0.8042 S
0.7706 0.2500 0.3042 S
0.8629 0.2500 0.0055 S
0.9149 0.7500 0.6052 S
0.0429 0.2500 0.7985 N
0.4571 0.7500 0.2985 N
0.5429 0.2500 0.7015 N
0.9571 0.7500 0.2015 N
```

Main lines, most intense first (2θ from 5° to 70°):
d [Å]  I_rel
3.253  100
3.434  69
2.320  43
3.313  41
2.593  26
1.977  25
2.763  23
2.840  21
1.714  20
1.910  16

***

Record 2
Structure and theoretical powder diffraction line list of Ta2SN (DFT lattice parameters and positions (PBE); Cu Kα X-rays).

Structure:
```
Ta2SN
1.0
3.0888 0.0000 0.0000
-1.5444 2.6750 0.0000
0.0000 0.0000 12.5444
Ta S N
4 2 2
direct
0.3333 0.6667 0.1075 Ta
0.3333 0.6667 0.3925 Ta
0.6667 0.3333 0.6075 Ta
0.6667 0.3333 0.8925 Ta
0.3333 0.6667 0.7500 S
0.6667 0.3333 0.2500 S
0.0000 0.0000 0.0000 N
0.0000 0.0000 0.5000 N
```

Main lines, most intense first (2θ from 5° to 70°):
d [Å]  I_rel
2.253  100
2.616  44
3.136  33
2.675  28
1.544  26
1.489  24
2.035  20
1.386  19
2.091  8
1.647  8

***

Record 3
Structure and theoretical powder diffraction line list of Zr4SN3 (DFT lattice parameters and positions (PBE); Cu Kα X-rays).

Structure:
```
Zr4SN3
1.0
3.3077 0.0000 0.0000
-1.6538 2.8645 0.0000
0.0000 0.0000 22.8760
Zr S N
8 2 6
direct
0.0000 0.0000 0.1697 Zr
0.0000 0.0000 0.3303 Zr
0.0000 0.0000 0.6697 Zr
0.0000 0.0000 0.8303 Zr
0.3333 0.6667 0.0594 Zr
0.3333 0.6667 0.4406 Zr
0.6667 0.3333 0.5594 Zr
0.6667 0.3333 0.9406 Zr
0.3333 0.6667 0.2500 S
0.6667 0.3333 0.7500 S
0.0000 0.0000 0.0000 N
0.0000 0.0000 0.5000 N
0.3333 0.6667 0.6141 N
0.3333 0.6667 0.8859 N
0.6667 0.3333 0.1141 N
0.6667 0.3333 0.3859 N
```

Main lines, most intense first (2θ from 5° to 70°):
d [Å]  I_rel
2.290  100
2.428  52
1.654  40
2.779  40
2.861  26
2.682  17
1.587  16
1.432  16
1.683  14
2.842  11

***

Record 4
Structure and theoretical powder diffraction line list of Sc2Sb3W4N3 (DFT lattice parameters and positions (PBE); Cu Kα X-rays).

Structure:
```
Sc2Sb3W4N3
1.0
5.0046 -2.9240 0.0000
5.0046 2.9240 0.0000
-3.2435 0.0000 12.6700
Sc Sb W N
4 6 8 6
direct
0.0286 0.8570 0.5926 Sc
0.1430 0.9714 0.9074 Sc
0.8570 0.0286 0.0926 Sc
0.9714 0.1430 0.4074 Sc
0.0768 0.2740 0.7470 Sb
0.2740 0.0768 0.2470 Sb
0.4308 0.5692 0.7500 Sb
0.5692 0.4308 0.2500 Sb
0.7260 0.9232 0.7530 Sb
0.9232 0.7260 0.2530 Sb
0.1970 0.3719 0.0771 W
0.3243 0.4596 0.4229 W
0.3719 0.1970 0.5771 W
0.4596 0.3243 0.9229 W
0.5404 0.6757 0.0771 W
0.6281 0.8030 0.4229 W
0.6757 0.5404 0.5771 W
0.8030 0.6281 0.9229 W
0.0000 0.5000 0.5000 N
0.1596 0.6809 0.9998 N
0.3191 0.8404 0.5002 N
0.5000 0.0000 0.0000 N
0.6809 0.1596 0.4998 N
0.8404 0.3191 0.0002 N
```

Main lines, most intense first (2θ from 5° to 70°):
d [Å]  I_rel
2.397  100
2.404  95
2.382  95
2.898  45
1.683  44
5.008  44
2.112  41
1.712  28
2.924  26
1.668  22

***

Record 5
Structure and theoretical powder diffraction line list of Ta4SbN3 (DFT lattice parameters and positions (PBE); Cu Kα X-rays).

Structure:
```
Ta4SbN3
1.0
3.2372 0.0000 0.0000
-1.6186 2.8035 0.0000
0.0000 0.0000 23.1637
Ta Sb N
8 2 6
direct
0.0000 0.0000 0.1526 Ta
0.0000 0.0000 0.3474 Ta
0.0000 0.0000 0.6526 Ta
0.0000 0.0000 0.8474 Ta
0.3333 0.6667 0.0555 Ta
0.3333 0.6667 0.4445 Ta
0.6667 0.3333 0.5555 Ta
0.6667 0.3333 0.9445 Ta
0.3333 0.6667 0.2500 Sb
0.6667 0.3333 0.7500 Sb
0.0000 0.0000 0.0000 N
0.0000 0.0000 0.5000 N
0.3333 0.6667 0.6065 N
0.3333 0.6667 0.8935 N
0.6667 0.3333 0.1065 N
0.6667 0.3333 0.3935 N
```

Main lines, most intense first (2θ from 5° to 70°):
d [Å]  I_rel
2.268  100
2.399  88
2.523  68
1.619  58
2.316  46
2.783  30
2.725  25
1.684  18
2.635  13
1.353  11

***

Record 6
Structure and theoretical powder diffraction line list of Ta4Sb3W2N3 (DFT lattice parameters and positions (PBE); Cu Kα X-rays).

Structure:
```
Ta4Sb3W2N3
1.0
5.0368 -2.8835 0.0000
5.0368 2.8835 0.0000
-3.0083 0.0000 12.9501
Ta Sb W N
8 6 4 6
direct
0.0052 0.7833 0.9206 Ta
0.1725 0.3027 0.4209 Ta
0.2167 0.9948 0.5794 Ta
0.3027 0.1725 0.9209 Ta
0.6973 0.8275 0.0791 Ta
0.7833 0.0052 0.4206 Ta
0.8275 0.6973 0.5791 Ta
0.9948 0.2167 0.0794 Ta
0.0861 0.9139 0.2500 Sb
0.2471 0.4155 0.7449 Sb
0.4155 0.2471 0.2449 Sb
0.5845 0.7529 0.7551 Sb
0.7529 0.5845 0.2551 Sb
0.9139 0.0861 0.7500 Sb
0.3975 0.5392 0.0883 W
0.4608 0.6025 0.4117 W
0.5392 0.3975 0.5883 W
0.6025 0.4608 0.9117 W
0.0000 0.5000 0.0000 N
0.1508 0.6699 0.5031 N
0.3301 0.8492 0.9969 N
0.5000 0.0000 0.5000 N
0.6699 0.1508 0.0031 N
0.8492 0.3301 0.4969 N
```

Main lines, most intense first (2θ from 5° to 70°):
d [Å]  I_rel
2.398  100
2.382  100
2.434  99
2.901  49
2.158  48
1.668  41
2.883  25
6.475  21
1.678  20
1.368  17

***

Record 7
Structure and theoretical powder diffraction line list of Y2Sb3W4N3 (DFT lattice parameters and positions (PBE); Cu Kα X-rays).

Structure:
```
Y2Sb3W4N3
1.0
5.0616 -3.0006 0.0000
5.0616 3.0006 0.0000
-2.4953 0.0000 13.3203
Y Sb W N
4 6 8 6
direct
0.0273 0.8595 0.6035 Y
0.1405 0.9727 0.8965 Y
0.8595 0.0273 0.1035 Y
0.9727 0.1405 0.3965 Y
0.0649 0.3153 0.7388 Sb
0.3153 0.0649 0.2388 Sb
0.4585 0.5415 0.7500 Sb
0.5415 0.4585 0.2500 Sb
0.6847 0.9351 0.7612 Sb
0.9351 0.6847 0.2612 Sb
0.2002 0.3525 0.0642 W
0.3317 0.4817 0.4261 W
0.3525 0.2002 0.5642 W
0.4817 0.3317 0.9261 W
0.5183 0.6683 0.0739 W
0.6475 0.7998 0.4358 W
0.6683 0.5183 0.5739 W
0.7998 0.6475 0.9358 W
0.0000 0.5000 0.5000 N
0.1670 0.6629 0.9974 N
0.3371 0.8330 0.5026 N
0.5000 0.0000 0.0000 N
0.6629 0.1670 0.4974 N
0.8330 0.3371 0.0026 N
```

Main lines, most intense first (2θ from 5° to 70°):
d [Å]  I_rel
2.517  100
2.486  94
2.387  79
2.936  44
1.720  39
2.220  36
5.139  28
3.001  25
6.660  20
1.684  18

***

Record 8
Structure and theoretical powder diffraction line list of Sc2Sn3W4N3 (DFT lattice parameters and positions (PBE); Cu Kα X-rays).

Structure:
```
Sc2Sn3W4N3
1.0
4.8562 -2.8327 0.0000
4.8562 2.8327 0.0000
-3.1482 0.0000 13.3919
Sc Sn W N
4 6 8 6
direct
0.0276 0.8576 0.5908 Sc
0.1424 0.9724 0.9092 Sc
0.8576 0.0276 0.0908 Sc
0.9724 0.1424 0.4092 Sc
0.0781 0.2812 0.7483 Sn
0.2812 0.0781 0.2483 Sn
0.4405 0.5595 0.7500 Sn
0.5595 0.4405 0.2500 Sn
0.7188 0.9219 0.7517 Sn
0.9219 0.7188 0.2517 Sn
0.1905 0.3775 0.0770 W
0.3239 0.4548 0.4247 W
0.3775 0.1905 0.5770 W
0.4548 0.3239 0.9247 W
0.5452 0.6761 0.0753 W
0.6225 0.8095 0.4230 W
0.6761 0.5452 0.5753 W
0.8095 0.6225 0.9230 W
0.0000 0.5000 0.5000 N
0.1575 0.6866 0.9999 N
0.3134 0.8425 0.5001 N
0.5000 0.0000 0.0000 N
0.6866 0.1575 0.4999 N
0.8425 0.3134 0.0001 N
```

Main lines, most intense first (2θ from 5° to 70°):
d [Å]  I_rel
2.385  100
2.392  96
2.372  95
2.232  53
2.811  43
4.860  43
1.631  40
1.753  29
4.738  25
2.833  23

***

Record 9
Structure and theoretical powder diffraction line list of Sc2Ta4Zn3N3 (DFT lattice parameters and positions (PBE); Cu Kα X-rays).

Structure:
```
Sc2Ta4Zn3N3
1.0
4.6810 -2.7052 0.0000
4.6810 2.7052 0.0000
-3.1599 0.0000 13.7052
Sc Ta Zn N
4 8 6 6
direct
0.0354 0.8740 0.6048 Sc
0.1260 0.9646 0.8952 Sc
0.8740 0.0354 0.1048 Sc
0.9646 0.1260 0.3952 Sc
0.1940 0.3572 0.0828 Ta
0.3013 0.4768 0.4173 Ta
0.3572 0.1940 0.5828 Ta
0.4768 0.3013 0.9173 Ta
0.5232 0.6987 0.0827 Ta
0.6428 0.8060 0.4172 Ta
0.6987 0.5232 0.5827 Ta
0.8060 0.6428 0.9172 Ta
0.0843 0.3835 0.7506 Zn
0.3835 0.0843 0.2506 Zn
0.4491 0.5509 0.2500 Zn
0.5509 0.4491 0.7500 Zn
0.6165 0.9157 0.7494 Zn
0.9157 0.6165 0.2494 Zn
0.0000 0.5000 0.5000 N
0.1614 0.6773 0.0000 N
0.3227 0.8386 0.5000 N
0.5000 0.0000 0.0000 N
0.6773 0.1614 0.5000 N
0.8386 0.3227 0.0000 N
```

Main lines, most intense first (2θ from 5° to 70°):
d [Å]  I_rel
2.327  100
2.284  25
4.654  22
6.853  18
2.704  17
2.653  16
4.564  16
1.561  15
1.746  9
1.522  8

***

Record 10
Structure and theoretical powder diffraction line list of Sc2Tl3W4N3 (DFT lattice parameters and positions (PBE); Cu Kα X-rays).

Structure:
```
Sc2Tl3W4N3
1.0
4.8993 -2.8558 0.0000
4.8993 2.8558 0.0000
-3.0942 0.0000 13.6136
Sc Tl W N
4 6 8 6
direct
0.0252 0.8567 0.5889 Sc
0.1433 0.9748 0.9111 Sc
0.8567 0.0252 0.0889 Sc
0.9748 0.1433 0.4111 Sc
0.0767 0.2780 0.7463 Tl
0.2780 0.0767 0.2463 Tl
0.4362 0.5638 0.7500 Tl
0.5638 0.4362 0.2500 Tl
0.7220 0.9233 0.7537 Tl
0.9233 0.7220 0.2537 Tl
0.1893 0.3728 0.0705 W
0.3262 0.4577 0.4300 W
0.3728 0.1893 0.5705 W
0.4577 0.3262 0.9300 W
0.5423 0.6738 0.0700 W
0.6272 0.8107 0.4295 W
0.6738 0.5423 0.5700 W
0.8107 0.6272 0.9295 W
0.0000 0.5000 0.5000 N
0.1561 0.6901 0.9999 N
0.3099 0.8439 0.5001 N
0.5000 0.0000 0.0000 N
0.6901 0.1561 0.4999 N
0.8439 0.3099 0.0001 N
```

Main lines, most intense first (2θ from 5° to 70°):
d [Å]  I_rel
2.417  100
2.393  47
2.269  25
2.835  23
1.645  21
4.903  16
2.856  12
1.633  10
4.782  9
1.362  9